Entry 1:
# AlTlFe
Calculated PXRD pattern, λ = 1.5418 Å (Cu Kα). Input: a crystal structure in Alexandria, relaxed with PBE.
Lines closer than 0.1° are merged.

Top 10 peaks for 10 to 90 degrees two-theta, by angle:
two_theta  I/Imax
16.70  47
29.36  80
33.77  22
38.07  100
40.16  48
43.77  18
53.45  25
58.09  16
66.41  17
71.59  31

Atomic structure:
abc: 3.1756 3.1756 10.6170
angles: 90.00 90.00 90.00
Space group I4mm (No. 107)
Asymmetric unit:
1 Al 0.0000 0.0000 0.0000 (multiplicity 2)
2 Tl 0.0000 0.0000 0.2807 (multiplicity 2)
3 Fe 0.0000 0.0000 0.5970 (multiplicity 2)

Entry 2:
# LiTi2C
Calculated PXRD pattern, λ = 1.5418 Å (Cu Kα). Input: a crystal structure in Alexandria, relaxed with PBE.
Lines closer than 0.1° are merged.

Top 10 peaks for 10 to 90 degrees two-theta, by angle:
two_theta  I/Imax
11.69  100
34.03  17
35.59  11
37.42  29
39.34  31
46.88  17
60.45  10
61.81  5
63.81  8
72.16  7

Atomic structure:
abc: 3.0630 3.0630 22.7020
angles: 90.00 90.00 120.00
Space group R3m (No. 160, hexagonal axes)
Asymmetric unit:
1 Li 0.0000 0.0000 0.0000 (multiplicity 3)
2 Ti 0.0000 0.0000 0.5496 (multiplicity 3)
3 Ti 0.0000 0.0000 0.7825 (multiplicity 3)
4 C 0.0000 0.0000 0.1661 (multiplicity 3)

Entry 3:
# CaPmIr2O8
Calculated PXRD pattern, λ = 1.5418 Å (Cu Kα). Input: a crystal structure in Alexandria, relaxed with PBE.
Lines closer than 0.1° are merged.

Top 10 peaks for 10 to 90 degrees two-theta, by angle:
two_theta  I/Imax
21.45  100
30.01  51
31.02  37
37.19  14
43.71  21
48.50  24
49.86  18
53.29  10
53.93  17
55.81  10

Atomic structure:
abc: 5.9552 5.9552 6.9528
angles: 90.00 90.00 120.00
Space group P-3m1 (No. 164)
Asymmetric unit:
1 Ca 0.0000 0.0000 0.0000 (multiplicity 1)
2 Pm 0.0000 0.0000 0.5000 (multiplicity 1)
3 Ir 0.3333 0.6667 0.8174 (multiplicity 2)
4 O 0.1606 0.3211 0.7355 (multiplicity 6)
5 O 0.3333 0.6667 0.0762 (multiplicity 2)